(1)
Calculated X-ray diffraction stick pattern of LiMn2B2O6 for Cu Kα, from a DFT-relaxed cell (PBE+U, the Materials Project).
No peak broadening, texture or thermal motion is included.

Most intense lines, 2θ = 15–90°, in order of rising 2θ:
2theta, intensity
20.0, 100
21.8, 47
22.8, 64
33.9, 32
34.8, 63
37.2, 34

Crystal structure
abc: 5.3016 5.7941 22.2093
angles: 89.58 89.49 66.27
Sites, in units of the cell vectors:
1 Li 0.0000 0.0000 0.0000
2 Li 0.0419 0.2916 0.6240
3 Li 0.4008 0.1995 0.1996
4 Li 0.5952 0.8018 0.7998
5 Li 0.7986 0.4019 0.3991
6 Mn 0.0909 0.8189 0.7324
7 Mn 0.1392 0.0740 0.4887
8 Mn 0.2917 0.4131 0.3331
9 Mn 0.3469 0.6718 0.0897
10 Mn 0.4920 0.0151 0.9341
11 Mn 0.5379 0.2844 0.6919
12 Mn 0.6812 0.6262 0.5368
13 Mn 0.7456 0.8714 0.2896
14 Mn 0.8927 0.2155 0.1343
15 Mn 0.9454 0.4707 0.8883
16 B 0.0369 0.9481 0.8634
17 B 0.1912 0.9510 0.3563
18 B 0.2420 0.5414 0.4620
19 B 0.3929 0.5512 0.9563
20 B 0.4382 0.1458 0.0634
21 B 0.5921 0.1501 0.5609
22 B 0.6424 0.7464 0.6671
23 B 0.7936 0.7513 0.1566
24 B 0.8371 0.3456 0.2631
25 B 0.9873 0.3547 0.7553
26 O 0.0157 0.2780 0.2147
27 O 0.0168 0.0381 0.4036
28 O 0.0183 0.4755 0.4702
29 O 0.0914 0.0729 0.9128
30 O 0.1668 0.7734 0.3162
31 O 0.1843 0.4517 0.7433
32 O 0.2095 0.8903 0.8142
33 O 0.2119 0.0840 0.0681
34 O 0.2227 0.6372 0.0042
35 O 0.3039 0.6799 0.5063
36 O 0.3669 0.3744 0.9160
37 O 0.3873 0.0480 0.3415
38 O 0.4160 0.4667 0.4127
39 O 0.4197 0.2157 0.6089
40 O 0.4311 0.6715 0.6774
41 O 0.4957 0.2707 0.1123
42 O 0.5645 0.9876 0.5173
43 O 0.5879 0.6490 0.9407
44 O 0.6108 0.2837 0.2671
45 O 0.6145 0.0778 0.0146
46 O 0.6210 0.8371 0.2042
47 O 0.6900 0.8914 0.7131
48 O 0.7688 0.5743 0.1163
49 O 0.7980 0.2465 0.5519
50 O 0.8114 0.4324 0.8021
51 O 0.8140 0.8803 0.8679
52 O 0.8180 0.6624 0.6185
53 O 0.8933 0.4700 0.3122
54 O 0.9684 0.1882 0.7100
55 O 0.9887 0.8496 0.1416


(2)
Calculated X-ray diffraction stick pattern of Li5Mn6B6O18 for Cu Kα, from a DFT-relaxed cell (PBE+U, the Materials Project).
No peak broadening, texture or thermal motion is included.

Most intense lines, 2θ = 15–90°, in order of rising 2θ:
2theta, intensity
20.3, 70
21.9, 34
22.8, 65
33.9, 100
34.1, 25
40.5, 47

Crystal structure
abc: 5.2997 7.9321 9.6023
angles: 76.23 75.50 87.40
Sites, in units of the cell vectors:
1 Li 0.0000 0.0000 0.0000
2 Li 0.0510 0.5283 0.1695
3 Li 0.3307 0.3311 0.3324
4 Li 0.6474 0.6810 0.6599
5 Li 0.7178 0.1922 0.8380
6 Mn 0.0904 0.7287 0.7976
7 Mn 0.3004 0.1312 0.6920
8 Mn 0.4231 0.0564 0.1451
9 Mn 0.6293 0.4665 0.0262
10 Mn 0.7521 0.3992 0.4726
11 Mn 0.9624 0.8053 0.3723
12 B 0.1761 0.3448 0.9258
13 B 0.2040 0.5120 0.5788
14 B 0.5078 0.6751 0.2592
15 B 0.5416 0.8493 0.9090
16 B 0.8382 0.0135 0.6010
17 B 0.8716 0.1820 0.2444
18 O 0.0035 0.0400 0.1976
19 O 0.0449 0.4876 0.9732
20 O 0.0580 0.2425 0.8622
21 O 0.0679 0.9680 0.6440
22 O 0.2959 0.8894 0.8831
23 O 0.3193 0.5927 0.6574
24 O 0.3317 0.3722 0.5243
25 O 0.3675 0.8151 0.2982
26 O 0.3967 0.5681 0.1950
27 O 0.4190 0.3005 0.9551
28 O 0.6284 0.2242 0.2161
29 O 0.6589 0.9499 0.9745
30 O 0.6741 0.7092 0.8591
31 O 0.7077 0.1604 0.6427
32 O 0.7304 0.9170 0.5307
33 O 0.7530 0.6387 0.2892
34 O 0.9620 0.5636 0.5484
35 O 0.9896 0.2841 0.3084